[1]
Calculated XRD peak list
Compound: MgTi6H4O14
Radiation: Cu Kα X-rays
Structure: a crystal structure in Alexandria, relaxed with GGA-PBE

Atomic structure:
```
MgTi6H4O14
1.0
3.931 0.000 0.000
0.362 7.615 0.000
0.147 2.081 9.046
Mg Ti H O
1 6 4 14
Direct
0.000 0.000 0.000
0.030 0.556 0.207
0.049 0.424 0.906
0.067 0.325 0.597
0.499 0.825 0.253
0.525 0.740 0.930
0.542 0.589 0.637
0.299 0.187 0.228
0.300 0.079 0.398
0.353 0.933 0.662
0.906 0.007 0.583
0.003 0.828 0.217
0.025 0.720 0.952
0.043 0.557 0.676
0.048 0.221 0.843
0.050 0.435 0.395
0.062 0.354 0.107
0.119 0.070 0.572
0.416 0.085 0.299
0.505 0.948 0.019
0.520 0.728 0.450
0.520 0.830 0.722
0.528 0.605 0.164
0.545 0.494 0.879
0.563 0.334 0.616
```

Top 6 peaks for 10 to 90 degrees two-theta, by angle:
11.93°, intensity 100
17.07°, intensity 34
25.19°, intensity 47
29.62°, intensity 35
37.32°, intensity 45
46.24°, intensity 32


[2]
Calculated XRD peak list
Compound: Ce5Ga2Co4
Radiation: Cu Kα X-rays
Structure: a crystal structure in Alexandria, relaxed with GGA-PBE

Atomic structure:
```
Ce5Ga2Co4
1.0
5.502 -3.394 0.000
5.502 3.394 0.000
-3.880 0.000 5.987
Ce Ga Co
5 2 4
Direct
0.000 0.000 0.000
0.057 0.551 0.323
0.449 0.943 0.677
0.551 0.057 0.323
0.943 0.449 0.677
0.495 0.495 0.181
0.505 0.505 0.819
0.056 0.056 0.382
0.225 0.225 0.009
0.775 0.775 0.991
0.944 0.944 0.618
```

Top 6 peaks for 10 to 90 degrees two-theta, by angle:
30.25°, intensity 86
32.75°, intensity 100
33.14°, intensity 61
36.68°, intensity 72
40.17°, intensity 32
40.45°, intensity 46


[3]
Calculated XRD peak list
Compound: Er15ThSc4
Radiation: Cu Kα X-rays
Structure: a crystal structure in Alexandria, relaxed with GGA-PBE

Atomic structure:
```
Er15ThSc4
1.0
4.901 0.000 0.000
0.000 4.901 0.000
0.000 0.000 24.445
Er Th Sc
15 1 4
Direct
0.000 0.000 0.000
0.000 0.000 0.204
0.000 0.000 0.401
0.000 0.000 0.599
0.000 0.000 0.796
0.000 0.500 0.103
0.000 0.500 0.302
0.000 0.500 0.500
0.000 0.500 0.698
0.000 0.500 0.897
0.500 0.000 0.103
0.500 0.000 0.302
0.500 0.000 0.500
0.500 0.000 0.698
0.500 0.000 0.897
0.500 0.500 0.000
0.500 0.500 0.203
0.500 0.500 0.401
0.500 0.500 0.599
0.500 0.500 0.797
```

Top 6 peaks for 10 to 90 degrees two-theta, by angle:
31.65°, intensity 100
36.70°, intensity 50
52.88°, intensity 35
62.91°, intensity 28
63.03°, intensity 13
66.10°, intensity 12


[4]
Calculated XRD peak list
Compound: La5Tb6Mg
Radiation: Cu Kα X-rays
Structure: a crystal structure in Alexandria, relaxed with GGA-PBE

Atomic structure:
```
La5Tb6Mg
1.0
-2.589 5.078 7.633
2.589 -5.078 7.633
2.589 5.078 -7.633
La Tb Mg
5 6 1
Direct
0.000 0.000 0.000
0.168 0.668 0.500
0.334 0.334 0.000
0.666 0.666 0.000
0.832 0.332 0.500
0.087 0.836 0.252
0.247 0.500 0.747
0.416 0.164 0.252
0.584 0.836 0.748
0.753 0.500 0.253
0.913 0.164 0.748
0.500 0.000 0.500
```

Top 6 peaks for 10 to 90 degrees two-theta, by angle:
30.27°, intensity 100
34.64°, intensity 17
35.31°, intensity 33
50.30°, intensity 24
59.40°, intensity 15
60.23°, intensity 14


[5]
Calculated XRD peak list
Compound: MgSn2Hg
Radiation: Cu Kα X-rays
Structure: a crystal structure in Alexandria, relaxed with GGA-PBE

Atomic structure:
```
MgSn2Hg
1.0
-4.140 4.140 3.080
4.140 -4.140 3.080
4.140 4.140 -3.080
Mg Sn Hg
2 4 2
Direct
0.000 0.000 0.000
0.750 0.250 0.500
0.134 0.625 0.009
0.375 0.384 0.509
0.616 0.125 0.991
0.875 0.866 0.491
0.250 0.750 0.500
0.500 0.500 0.000
```

Top 6 peaks for 10 to 90 degrees two-theta, by angle:
17.95°, intensity 54
28.12°, intensity 31
30.54°, intensity 100
32.86°, intensity 83
43.73°, intensity 38
45.47°, intensity 73


[6]
Calculated XRD peak list
Compound: Tb3Sm8
Radiation: Cu Kα X-rays
Structure: a crystal structure in Alexandria, relaxed with GGA-PBE

Atomic structure:
```
Tb3Sm8
1.0
6.039 3.487 2.988
-6.039 3.487 2.988
0.000 -6.973 2.988
Tb Sm
3 8
Direct
0.000 0.500 0.500
0.500 0.000 0.500
0.500 0.500 0.000
0.070 0.177 0.684
0.177 0.684 0.070
0.267 0.267 0.267
0.316 0.930 0.823
0.684 0.070 0.177
0.733 0.733 0.733
0.823 0.316 0.930
0.930 0.823 0.316
```

Top 6 peaks for 10 to 90 degrees two-theta, by angle:
29.58°, intensity 100
29.91°, intensity 44
30.14°, intensity 70
32.44°, intensity 31
36.91°, intensity 31
42.57°, intensity 47